U2Co3O8: computed PXRD pattern (Cu Kα X-rays), based on a DFT-relaxed cell (GGA+U, Alexandria).
Kinematic intensities with the Lorentz-polarization factor, no thermal factor.

Crystal structure
```
U2Co3O8
1.0
5.1563 0.0000 0.0000
0.0000 10.3976 0.0000
0.0000 0.0000 6.1465
U Co O
4 6 16
Direct
0.0438 0.2337 0.0000
0.4562 0.7337 0.5000
0.5438 0.2663 0.5000
0.9562 0.7663 0.0000
0.0000 0.0000 0.5000
0.0000 0.5000 0.2623
0.0000 0.5000 0.7377
0.5000 0.0000 0.2377
0.5000 0.0000 0.7623
0.5000 0.5000 0.0000
0.1805 0.5973 0.0000
0.2018 0.5881 0.5000
0.2040 0.8488 0.2672
0.2040 0.8488 0.7328
0.2960 0.3488 0.2328
0.2960 0.3488 0.7672
0.2982 0.0881 0.0000
0.3195 0.0973 0.5000
0.6805 0.9027 0.5000
0.7018 0.9119 0.0000
0.7040 0.6512 0.2328
0.7040 0.6512 0.7672
0.7960 0.1512 0.2672
0.7960 0.1512 0.7328
0.7982 0.4119 0.5000
0.8195 0.4027 0.0000
```

Top 12 peaks for 10° ≤ 2θ ≤ 90°, in order of rising 2θ:
2θ 17.06, I = 20, (0 2 0); 2θ 22.51, I = 47, (1 0 1); 2θ 28.38, I = 100, (1 2 1); 2θ 29.06, I = 15, (0 0 2); 2θ 33.88, I = 27, (0 2 2); 2θ 34.49, I = 19, (0 4 0); 2θ 41.59, I = 16, (1 4 1); 2θ 49.36, I = 20, (2 2 2); 2θ 49.81, I = 16, (2 4 0); 2θ 51.09, I = 17, (1 2 3); 2θ 56.30, I = 17, (1 5 2); 2θ 60.24, I = 13, (0 0 4)